Simulated powder diffractogram
Compound: Sr2GaPbO5
Radiation: Cu Kα, 1.54184 Å
Structure: a crystal structure in Alexandria, relaxed with GGA-PBE

Principal peaks in the range 10° ≤ 2θ ≤ 90°, in order of rising 2θ:
2θ (°)  d/Å  I (rel.)
10.74  8.235  22
17.79  4.987  22
20.82  4.266  49
28.13  3.173  84
28.96  3.083  34
32.19  2.781  100
33.87  2.647  47
38.19  2.356  71
42.22  2.140  47
57.10  1.613  32

Crystal structure
```
data_Sr2GaPbO5
_chemical_formula_sum 'Sr4 Ga2 Pb2 O10'
_cell_length_a 8.410
_cell_length_b 8.410
_cell_length_c 9.974
_cell_angle_alpha 90.00
_cell_angle_beta 90.00
_cell_angle_gamma 156.60
_space_group_name_H-M_alt 'P 1'
_space_group_IT_number 1
_space_group_name_Hall 'P 1'
loop_
_atom_site_label
_atom_site_type_symbol
_atom_site_fract_x
_atom_site_fract_y
_atom_site_fract_z
_atom_site_occupancy
Sr1 Sr 0.103 0.897 0.500 1
Sr2 Sr 0.111 0.889 0.119 1
Sr3 Sr 0.889 0.111 0.619 1
Sr4 Sr 0.897 0.103 0.000 1
Ga1 Ga 0.449 0.551 0.273 1
Ga2 Ga 0.551 0.449 0.773 1
Pb1 Pb 0.225 0.775 0.833 1
Pb2 Pb 0.775 0.225 0.333 1
O1 O 0.036 0.964 0.860 1
O2 O 0.294 0.706 0.488 1
O3 O 0.341 0.659 0.198 1
O4 O 0.359 0.641 0.818 1
O5 O 0.500 0.500 0.107 1
O6 O 0.500 0.500 0.607 1
O7 O 0.641 0.359 0.318 1
O8 O 0.659 0.341 0.698 1
O9 O 0.706 0.294 0.988 1
O10 O 0.964 0.036 0.360 1
```